Record 1
Structure and simulated powder diffractogram of NdRe2O4 (a PBE-relaxed structure; Cu Kα, 1.54184 Å).
Neutral-atom scattering factors, no anomalous dispersion.

Cell and atoms:
Cell lengths 9.1353, 9.1353, 9.1353 Å; angles 90.00, 90.00, 90.00 degrees
Space group Fd-3m (No. 227, origin choice 2)
One atom of each set of equivalent atoms:
1 Nd 0.1250 0.1250 0.1250 x8
2 Re 0.0000 0.0000 0.5000 x16
3 O 0.0210 0.0210 0.7290 x32

Top 10 peaks for 10° ≤ 2θ ≤ 90°, low angle first:
hkl 1 1 1, 5.274 Å, 2θ = 16.81°, intensity 18.8
hkl 2 2 0, 3.230 Å, 2θ = 27.62°, intensity 21.6
hkl 3 1 1, 2.754 Å, 2θ = 32.51°, intensity 100.0
hkl 2 2 2, 2.637 Å, 2θ = 34.00°, intensity 35.2
hkl 4 0 0, 2.284 Å, 2θ = 39.46°, intensity 14.6
hkl 5 1 1, 1.758 Å, 2θ = 52.02°, intensity 40.0
hkl 4 4 0, 1.615 Å, 2θ = 57.03°, intensity 39.5
hkl 5 3 3, 1.393 Å, 2θ = 67.20°, intensity 13.0
hkl 6 2 2, 1.377 Å, 2θ = 68.08°, intensity 17.3
hkl 5 5 3, 1.189 Å, 2θ = 80.81°, intensity 22.0

=====

Record 2
Structure and simulated powder diffractogram of Nd2SO6 (a PBE-relaxed structure; Cu Kα, 1.54184 Å).
Neutral-atom scattering factors, no anomalous dispersion.

Cell and atoms:
Cell lengths 4.1322, 4.1540, 14.4486 Å; angles 90.00, 90.00, 90.00 degrees
Space group I222 (No. 23)
One atom of each set of equivalent atoms:
1 Nd 0.0000 0.0000 0.1731 x4
2 S 0.0000 0.0000 0.5000 x2
3 O 0.0000 0.5000 0.2496 x4
4 O 0.2035 0.2030 0.4400 x8

Top 10 peaks for 10° ≤ 2θ ≤ 90°, low angle first:
hkl 0 0 2, 7.224 Å, 2θ = 12.25°, intensity 19.6
hkl 1 0 3, 3.141 Å, 2θ = 28.42°, intensity 100.0
hkl 1 1 0, 2.930 Å, 2θ = 30.51°, intensity 33.0
hkl 1 0 5, 2.370 Å, 2θ = 37.96°, intensity 11.6
hkl 1 1 6, 1.860 Å, 2θ = 48.96°, intensity 23.8
hkl 1 2 3, 1.732 Å, 2θ = 52.87°, intensity 16.0
hkl 2 1 3, 1.727 Å, 2θ = 53.03°, intensity 15.8
hkl 0 1 9, 1.497 Å, 2θ = 61.99°, intensity 8.3
hkl 2 2 0, 1.465 Å, 2θ = 63.51°, intensity 6.8
hkl 2 2 6, 1.252 Å, 2θ = 76.03°, intensity 6.5

=====

Record 3
Structure and simulated powder diffractogram of Nd2Zn2SeSO2 (a PBE-relaxed structure; Cu Kα, 1.54184 Å).
Neutral-atom scattering factors, no anomalous dispersion.

Cell and atoms:
Cell lengths 4.0644, 4.0644, 10.6555 Å; angles 90.00, 90.00, 120.00 degrees
Space group P3m1 (No. 156)
One atom of each set of equivalent atoms:
1 Nd 0.0000 0.0000 0.0000 x1
2 Nd 0.3333 0.6667 0.4431 x1
3 Zn 0.6667 0.3333 0.2318 x1
4 Zn 0.6667 0.3333 0.7071 x1
5 Se 0.3333 0.6667 0.7912 x1
6 S 0.0000 0.0000 0.2702 x1
7 O 0.6667 0.3333 0.0374 x1
8 O 0.6667 0.3333 0.5252 x1

Top 10 peaks for 10° ≤ 2θ ≤ 90°, low angle first:
hkl 1 0 1, 3.342 Å, 2θ = 26.67°, intensity 100.0
hkl 1 0 2, 2.937 Å, 2θ = 30.44°, intensity 89.6
hkl 0 0 4, 2.664 Å, 2θ = 33.64°, intensity 25.1
hkl 0 1 3, 2.500 Å, 2θ = 35.92°, intensity 89.9
hkl 1 1 0, 2.032 Å, 2θ = 44.59°, intensity 78.5
hkl 0 2 2, 1.671 Å, 2θ = 54.94°, intensity 17.1
hkl 1 1 4, 1.616 Å, 2θ = 57.00°, intensity 31.8
hkl 1 0 6, 1.586 Å, 2θ = 58.18°, intensity 26.1
hkl 2 0 3, 1.577 Å, 2θ = 58.53°, intensity 21.5
hkl 0 1 8, 1.246 Å, 2θ = 76.46°, intensity 29.2

=====

Record 4
Structure and simulated powder diffractogram of Nd2Sm2S3O4 (a PBE-relaxed structure; Cu Kα, 1.54184 Å).
Neutral-atom scattering factors, no anomalous dispersion.

Cell and atoms:
Cell lengths 8.2809, 3.9200, 12.5441 Å; angles 90.00, 90.00, 90.00 degrees
Space group Amm2 (No. 38)
One atom of each set of equivalent atoms:
1 Nd 0.0000 0.0000 0.0000 x2
2 Nd 0.5000 0.0000 0.0182 x2
3 Sm 0.2351 0.0000 0.6930 x4
4 S 0.0000 0.0000 0.3173 x2
5 S 0.3689 0.0000 0.3556 x4
6 O 0.0000 0.0000 0.5956 x2
7 O 0.2435 0.0000 0.0928 x4
8 O 0.5000 0.0000 0.6239 x2

Top 10 peaks for 10° ≤ 2θ ≤ 90°, low angle first:
hkl 0 0 2, 6.272 Å, 2θ = 14.12°, intensity 30.1
hkl 0 1 1, 3.742 Å, 2θ = 23.78°, intensity 20.8
hkl 2 0 2, 3.455 Å, 2θ = 25.78°, intensity 92.0
hkl 0 1 3, 2.860 Å, 2θ = 31.28°, intensity 100.0
hkl 2 1 1, 2.776 Å, 2θ = 32.25°, intensity 72.8
hkl 2 0 4, 2.500 Å, 2θ = 35.92°, intensity 28.4
hkl 0 2 0, 1.960 Å, 2θ = 46.32°, intensity 20.0
hkl 2 1 5, 1.882 Å, 2θ = 48.36°, intensity 43.1
hkl 2 2 2, 1.705 Å, 2θ = 53.77°, intensity 24.7
hkl 4 1 3, 1.677 Å, 2θ = 54.73°, intensity 28.3

=====

Record 5
Structure and simulated powder diffractogram of Nd2Sb2O5 (a PBE-relaxed structure; Cu Kα, 1.54184 Å).
Neutral-atom scattering factors, no anomalous dispersion.

Cell and atoms:
Cell lengths 3.8773, 3.8773, 9.8436 Å; angles 90.00, 90.00, 90.00 degrees
Space group P4/mmm (No. 123)
One atom of each set of equivalent atoms:
1 Nd 0.0000 0.0000 0.2440 x2
2 Sb 0.5000 0.5000 0.0000 x1
3 Sb 0.5000 0.5000 0.5000 x1
4 O 0.0000 0.0000 0.0000 x1
5 O 0.0000 0.5000 0.3683 x4

Top 10 peaks for 10° ≤ 2θ ≤ 90°, low angle first:
hkl 1 0 2, 3.046 Å, 2θ = 29.32°, intensity 100.0
hkl 1 1 0, 2.742 Å, 2θ = 32.66°, intensity 33.0
hkl 0 0 4, 2.461 Å, 2θ = 36.51°, intensity 12.1
hkl 2 0 0, 1.939 Å, 2θ = 46.86°, intensity 19.1
hkl 1 1 4, 1.831 Å, 2θ = 49.79°, intensity 31.3
hkl 2 1 2, 1.635 Å, 2θ = 56.25°, intensity 32.1
hkl 2 0 4, 1.523 Å, 2θ = 60.83°, intensity 11.3
hkl 1 0 6, 1.511 Å, 2θ = 61.36°, intensity 12.0
hkl 2 1 6, 1.192 Å, 2θ = 80.62°, intensity 11.1
hkl 3 1 4, 1.097 Å, 2θ = 89.25°, intensity 11.5

=====

Record 6
Structure and simulated powder diffractogram of Nd4Sb2O (a PBE-relaxed structure; Cu Kα, 1.54184 Å).
Neutral-atom scattering factors, no anomalous dispersion.

Cell and atoms:
Cell lengths 4.7091, 4.7091, 17.2272 Å; angles 90.00, 90.00, 90.00 degrees
Space group I4/mmm (No. 139)
One atom of each set of equivalent atoms:
1 Nd 0.0000 0.0000 0.1745 x4
2 Nd 0.0000 0.5000 0.0000 x4
3 Sb 0.0000 0.0000 0.3607 x4
4 O 0.0000 0.0000 0.0000 x2

Top 10 peaks for 10° ≤ 2θ ≤ 90°, low angle first:
hkl 1 1 2, 3.106 Å, 2θ = 28.74°, intensity 100.0
hkl 0 0 6, 2.871 Å, 2θ = 31.15°, intensity 43.4
hkl 1 0 5, 2.781 Å, 2θ = 32.19°, intensity 28.4
hkl 1 1 4, 2.634 Å, 2θ = 34.03°, intensity 96.0
hkl 2 0 0, 2.355 Å, 2θ = 38.22°, intensity 69.9
hkl 2 0 6, 1.821 Å, 2θ = 50.10°, intensity 45.5
hkl 2 2 0, 1.665 Å, 2θ = 55.17°, intensity 23.8
hkl 3 1 2, 1.467 Å, 2θ = 63.39°, intensity 21.5
hkl 2 2 6, 1.440 Å, 2θ = 64.72°, intensity 20.9
hkl 3 1 4, 1.407 Å, 2θ = 66.43°, intensity 27.6

=====

Record 7
Structure and simulated powder diffractogram of NdSbO4 (a PBE-relaxed structure; Cu Kα, 1.54184 Å).
Neutral-atom scattering factors, no anomalous dispersion.

Cell and atoms:
Cell lengths 7.6452, 5.5138, 7.6627 Å; angles 90.00, 100.17, 90.00 degrees
Space group P2_1/c (No. 14)
One atom of each set of equivalent atoms:
1 Nd 0.1494 0.2274 0.3996 x4
2 Sb 0.3365 0.7304 0.1978 x4
3 O 0.1181 0.5204 0.1729 x4
4 O 0.1691 0.5047 0.6283 x4
5 O 0.3338 0.6354 0.9441 x4
6 O 0.4368 0.0919 0.8014 x4

Top 10 peaks for 10° ≤ 2θ ≤ 90°, low angle first:
hkl 2 0 0, 3.765 Å, 2θ = 23.63°, intensity 11.8
hkl 2 1 0, 3.110 Å, 2θ = 28.71°, intensity 100.0
hkl 1 1 -2, 3.037 Å, 2θ = 29.41°, intensity 21.2
hkl 0 2 0, 2.757 Å, 2θ = 32.48°, intensity 16.6
hkl 2 2 -2, 2.010 Å, 2θ = 45.12°, intensity 9.3
hkl 1 0 -4, 1.910 Å, 2θ = 47.60°, intensity 9.8
hkl 2 2 2, 1.834 Å, 2θ = 49.72°, intensity 12.9
hkl 1 1 4, 1.674 Å, 2θ = 54.83°, intensity 9.0
hkl 2 3 0, 1.652 Å, 2θ = 55.64°, intensity 14.6
hkl 3 1 -4, 1.584 Å, 2θ = 58.23°, intensity 8.8

=====

Record 8
Structure and simulated powder diffractogram of NdSm3Se3O4 (a PBE-relaxed structure; Cu Kα, 1.54184 Å).
Neutral-atom scattering factors, no anomalous dispersion.

Cell and atoms:
Cell lengths 8.3897, 3.9557, 12.7845 Å; angles 90.00, 90.00, 90.00 degrees
Space group Amm2 (No. 38)
One atom of each set of equivalent atoms:
1 Nd 0.0000 0.0000 0.0000 x2
2 Sm 0.2378 0.0000 0.6838 x4
3 Sm 0.5000 0.0000 0.0193 x2
4 Se 0.0000 0.0000 0.3123 x2
5 Se 0.3501 0.0000 0.3571 x4
6 O 0.0000 0.0000 0.5909 x2
7 O 0.2459 0.0000 0.0891 x4
8 O 0.5000 0.0000 0.6174 x2

Top 10 peaks for 10° ≤ 2θ ≤ 90°, low angle first:
hkl 2 0 2, 3.507 Å, 2θ = 25.40°, intensity 55.6
hkl 0 1 3, 2.899 Å, 2θ = 30.84°, intensity 100.0
hkl 2 1 1, 2.808 Å, 2θ = 31.87°, intensity 57.1
hkl 2 0 4, 2.542 Å, 2θ = 35.30°, intensity 30.0
hkl 0 0 6, 2.131 Å, 2θ = 42.42°, intensity 14.5
hkl 0 2 0, 1.978 Å, 2θ = 45.88°, intensity 19.9
hkl 2 1 5, 1.911 Å, 2θ = 47.57°, intensity 22.5
hkl 2 2 2, 1.723 Å, 2θ = 53.17°, intensity 14.8
hkl 4 1 3, 1.699 Å, 2θ = 53.96°, intensity 17.0
hkl 2 1 7, 1.542 Å, 2θ = 59.99°, intensity 15.3

=====

Record 9
Structure and simulated powder diffractogram of NdSiO3 (a PBE-relaxed structure; Cu Kα, 1.54184 Å).
Neutral-atom scattering factors, no anomalous dispersion.

Cell and atoms:
Cell lengths 3.7408, 3.7408, 3.7680 Å; angles 90.00, 90.00, 90.00 degrees
Space group P4/mmm (No. 123)
One atom of each set of equivalent atoms:
1 Nd 0.0000 0.0000 0.0000 x1
2 Si 0.5000 0.5000 0.5000 x1
3 O 0.0000 0.5000 0.5000 x2
4 O 0.5000 0.5000 0.0000 x1

Top 10 peaks for 10° ≤ 2θ ≤ 90°, low angle first:
hkl 0 0 1, 3.768 Å, 2θ = 23.61°, intensity 23.7
hkl 1 0 0, 3.741 Å, 2θ = 23.79°, intensity 46.5
hkl 1 0 1, 2.655 Å, 2θ = 33.76°, intensity 100.0
hkl 1 1 0, 2.645 Å, 2θ = 33.89°, intensity 49.5
hkl 1 1 1, 2.165 Å, 2θ = 41.72°, intensity 61.1
hkl 2 0 0, 1.870 Å, 2θ = 48.68°, intensity 34.3
hkl 2 1 0, 1.674 Å, 2θ = 54.84°, intensity 21.7
hkl 1 1 2, 1.535 Å, 2θ = 60.32°, intensity 19.4
hkl 2 1 1, 1.529 Å, 2θ = 60.56°, intensity 38.4
hkl 2 0 2, 1.327 Å, 2θ = 71.01°, intensity 20.5

=====

Record 10
Structure and simulated powder diffractogram of Nd2SiTeO4 (a PBE-relaxed structure; Cu Kα, 1.54184 Å).
Neutral-atom scattering factors, no anomalous dispersion.

Cell and atoms:
Cell lengths 6.3004, 7.2052, 11.1943 Å; angles 90.00, 90.00, 90.00 degrees
Space group Pbcm (No. 57)
One atom of each set of equivalent atoms:
1 Nd 0.1105 0.2500 0.0000 x4
2 Nd 0.3872 0.5379 0.2500 x4
3 Si 0.3872 0.7500 0.0000 x4
4 Te 0.0975 0.5782 0.7500 x4
5 O 0.2312 0.5757 0.0350 x8
6 O 0.4498 0.2315 0.6158 x8

Top 10 peaks for 10° ≤ 2θ ≤ 90°, low angle first:
hkl 1 1 2, 3.618 Å, 2θ = 24.60°, intensity 24.9
hkl 0 2 2, 3.029 Å, 2θ = 29.49°, intensity 75.2
hkl 1 2 1, 3.012 Å, 2θ = 29.66°, intensity 19.4
hkl 0 0 4, 2.797 Å, 2θ = 32.00°, intensity 100.0
hkl 2 1 2, 2.565 Å, 2θ = 34.98°, intensity 26.1
hkl 2 1 3, 2.283 Å, 2θ = 39.47°, intensity 32.1
hkl 1 3 0, 2.244 Å, 2θ = 40.18°, intensity 15.7
hkl 2 1 5, 1.769 Å, 2θ = 51.67°, intensity 13.7
hkl 0 2 6, 1.656 Å, 2θ = 55.49°, intensity 19.8
hkl 0 0 8, 1.398 Å, 2θ = 66.92°, intensity 26.6